(1)
Computed powder X-ray diffraction pattern
Compound: InPAu
Radiation: Cu Kα (λ = 1.5418 Å)
Structure: a cell relaxed with GGA-PBE

Atomic structure:
Cell: 3.996 3.996 4.535 Å, 90.00 90.00 120.00°
Positions (direct):
In: 0.000 0.000 0.000
P: 0.667 0.333 0.372
Au: 0.333 0.667 0.610

Most intense lines, 2θ = 10–90°, in order of rising 2θ:
25.74°, I 25
32.54°, I 100
45.39°, I 32
47.96°, I 26
56.96°, I 20
75.67°, I 18

---

(2)
Computed powder X-ray diffraction pattern
Compound: Nd2Ge2Rh5
Radiation: Cu Kα (λ = 1.5418 Å)
Structure: a cell relaxed with GGA-PBE

Atomic structure:
Cell: 4.234 4.234 9.091 Å, 90.00 90.00 90.00°
Positions (direct):
Nd: 0.000 0.000 0.000
Nd: 0.000 0.000 0.500
Ge: 0.500 0.500 0.143
Ge: 0.500 0.500 0.857
Rh: 0.000 0.500 0.271
Rh: 0.000 0.500 0.729
Rh: 0.500 0.000 0.271
Rh: 0.500 0.000 0.729
Rh: 0.500 0.500 0.500

Most intense lines, 2θ = 10–90°, in order of rising 2θ:
35.92°, I 100
42.44°, I 17
42.71°, I 49
62.00°, I 16
69.54°, I 15
73.78°, I 24

---

(3)
Computed powder X-ray diffraction pattern
Compound: ZrTaZnOs2
Radiation: Cu Kα (λ = 1.5418 Å)
Structure: a cell relaxed with GGA-PBE

Atomic structure:
Cell: 4.736 4.736 4.761 Å, 90.00 90.00 90.00°
Positions (direct):
Zr: 0.000 0.000 0.000
Ta: 0.500 0.500 0.500
Zn: 0.500 0.500 0.000
Os: 0.000 0.500 0.500
Os: 0.500 0.000 0.500

Most intense lines, 2θ = 10–90°, in order of rising 2θ:
18.64°, I 85
32.70°, I 76
37.79°, I 51
38.00°, I 100
42.65°, I 50
54.67°, I 70

---

(4)
Computed powder X-ray diffraction pattern
Compound: K2UCdSe6
Radiation: Cu Kα (λ = 1.5418 Å)
Structure: a cell relaxed with GGA-PBE

Atomic structure:
Cell: 7.663 7.663 13.252 Å, 90.00 125.26 90.00°
Positions (direct):
K: 0.250 0.000 0.250
K: 0.250 0.500 0.750
K: 0.750 0.000 0.750
K: 0.750 0.500 0.250
U: 0.000 0.000 0.500
U: 0.000 0.500 0.000
Cd: 0.500 0.000 0.000
Cd: 0.500 0.500 0.500
Se: 0.244 0.245 0.500
Se: 0.244 0.255 0.000
Se: 0.245 0.000 0.745
Se: 0.245 0.500 0.245
Se: 0.245 0.744 0.000
Se: 0.245 0.756 0.500
Se: 0.755 0.000 0.255
Se: 0.755 0.244 0.500
Se: 0.755 0.256 0.000
Se: 0.755 0.500 0.755
Se: 0.756 0.745 0.000
Se: 0.756 0.755 0.500

Most intense lines, 2θ = 10–90°, in order of rising 2θ:
16.37°, I 100
23.23°, I 36
33.08°, I 85
37.12°, I 54
47.48°, I 60
50.56°, I 28